(1)
The following is a calculated PXRD pattern of CuSO7. It was derived from a DFT-relaxed cell (PBE, the Materials Project), using Cu Ka.

Most intense lines, 2θ = 15–90°, sorted by position:
- 2θ = 17.46°, I 100.0, (1 1 0)
- 2θ = 18.27°, I 40.2, (0 2 1)
- 2θ = 20.46°, I 38.2, (1 1 -1)
- 2θ = 25.32°, I 54.8, (0 0 2)
- 2θ = 26.57°, I 62.1, (0 4 0)
- 2θ = 27.85°, I 35.3, (1 3 -1)
- 2θ = 29.53°, I 20.0, (1 3 1)
- 2θ = 32.46°, I 21.3, (1 1 2)
- 2θ = 36.32°, I 59.8, (2 2 -1)
- 2θ = 38.95°, I 20.2, (2 2 1)

Structure:
Cell lengths 5.522, 13.420, 7.082 Å; angles 90.00, 96.57, 90.00 degrees
Space group Cc (No. 9)
Unique sites:
Cu: 0.000 0.115 0.000 x4
S: 0.231 0.102 0.423 x4
O: 0.050 0.381 0.512 x4
O: 0.053 0.143 0.259 x4
O: 0.087 0.029 0.530 x4
O: 0.298 0.186 0.552 x4
O: 0.386 0.179 0.965 x4
O: 0.389 0.364 0.264 x4
O: 0.436 0.054 0.349 x4

***

(2)
The following is a calculated PXRD pattern of K2TcCl6. It was derived from a DFT-relaxed cell (PBE, the Materials Project), using Cu Ka.

Most intense lines, 2θ = 15–90°, sorted by position:
- 2θ = 15.25°, I 100.0, (1 1 1)
- 2θ = 17.63°, I 32.6, (2 0 0)
- 2θ = 25.03°, I 39.2, (2 2 0)
- 2θ = 29.44°, I 36.8, (3 1 1)
- 2θ = 30.78°, I 47.0, (2 2 2)
- 2θ = 35.69°, I 92.7, (4 0 0)
- 2θ = 46.92°, I 22.9, (5 1 1)
- 2θ = 51.37°, I 57.0, (4 4 0)
- 2θ = 53.91°, I 20.0, (5 3 1)
- 2θ = 86.51°, I 22.5, (8 4 0)

Structure:
Cell lengths 10.062, 10.062, 10.062 Å; angles 90.00, 90.00, 90.00 degrees
Space group Fm-3m (No. 225)
Unique sites:
K: 0.250 0.250 0.250 x8
Tc: 0.000 0.000 0.000 x4
Cl: 0.000 0.000 0.236 x24

***

(3)
The following is a calculated PXRD pattern of Pr3Si2. It was derived from a DFT-relaxed cell (PBE, the Materials Project), using Cu Ka.

Most intense lines, 2θ = 15–90°, sorted by position:
- 2θ = 25.26°, I 41.2, (2 1 0)
- 2θ = 26.01°, I 36.9, (1 1 1)
- 2θ = 30.64°, I 100.0, (2 0 1)
- 2θ = 32.12°, I 25.9, (2 2 0)
- 2θ = 32.72°, I 88.4, (2 1 1)
- 2θ = 36.03°, I 49.1, (3 1 0)
- 2θ = 41.60°, I 23.6, (0 0 2)
- 2θ = 52.29°, I 22.7, (4 1 1)
- 2θ = 53.66°, I 31.1, (3 3 1)
- 2θ = 56.19°, I 27.1, (3 1 2)

Structure:
Cell lengths 7.882, 7.882, 4.342 Å; angles 90.00, 90.00, 90.00 degrees
Space group P4/mbm (No. 127)
Unique sites:
Pr: 0.000 0.000 0.000 x2
Pr: 0.178 0.322 0.500 x4
Si: 0.109 0.609 0.000 x4

***

(4)
The following is a calculated PXRD pattern of Mg14AlSi. It was derived from a DFT-relaxed cell (PBE, the Materials Project), using Cu Ka.

Most intense lines, 2θ = 15–90°, sorted by position:
- 2θ = 33.10°, I 23.9, (2 0 0)
- 2θ = 35.01°, I 27.2, (0 0 4)
- 2θ = 37.58°, I 100.0, (2 0 2)
- 2θ = 48.95°, I 15.2, (2 0 4)
- 2θ = 59.13°, I 16.8, (2 2 0)
- 2θ = 64.49°, I 19.1, (2 0 6)
- 2θ = 70.60°, I 19.1, (2 2 4)
- 2θ = 72.21°, I 13.4, (4 0 2)
- 2θ = 80.22°, I 3.2, (4 0 4)
- 2θ = 83.45°, I 2.9, (2 0 8)

Structure:
Cell lengths 6.2499, 6.2499, 10.2526 Å; angles 90.00, 90.00, 120.00 degrees
Space group P-6m2 (No. 187)
Unique sites:
Mg: 0.0000 0.0000 0.2504 x2
Mg: 0.0018 0.5009 0.2498 x6
Mg: 0.3329 0.1664 0.0000 x3
Mg: 0.3336 0.1668 0.5000 x3
Al: 0.3333 0.6667 0.5000 x1
Si: 0.3333 0.6667 0.0000 x1

***

(5)
The following is a calculated PXRD pattern of MgBi4O8. It was derived from a DFT-relaxed cell (PBE, the Materials Project), using Cu Ka.

Most intense lines, 2θ = 15–90°, sorted by position:
- 2θ = 18.09°, I 64.6, (0 1 1)
- 2θ = 27.50°, I 18.1, (1 1 0)
- 2θ = 27.71°, I 100.0, (0 3 1)
- 2θ = 27.94°, I 39.7, (1 0 -1)
- 2θ = 33.39°, I 25.9, (0 0 2)
- 2θ = 34.48°, I 32.4, (1 0 1)
- 2θ = 34.73°, I 39.3, (1 3 0)
- 2θ = 44.29°, I 23.4, (1 3 -2)
- 2θ = 45.05°, I 16.1, (0 6 0)
- 2θ = 53.29°, I 27.1, (1 3 2)

Structure:
Cell lengths 3.456, 12.075, 5.507 Å; angles 90.00, 102.99, 90.00 degrees
Space group Pm (No. 6)
Unique sites:
Mg: 0.000 0.000 0.000 x1
Bi: 0.554 0.161 0.525 x2
Bi: 0.912 0.329 0.055 x2
O: 0.018 0.131 0.236 x2
O: 0.311 0.259 0.800 x2
O: 0.426 0.000 0.792 x1
O: 0.513 0.324 0.323 x2
O: 0.884 0.500 0.985 x1

***

(6)
The following is a calculated PXRD pattern of PmSmIr2. It was derived from a DFT-relaxed cell (PBE, the Materials Project), using Cu Ka.

Most intense lines, 2θ = 15–90°, sorted by position:
- 2θ = 25.33°, I 1.7, (2 0 0)
- 2θ = 36.13°, I 100.0, (2 2 0)
- 2θ = 44.64°, I 0.6, (2 2 2)
- 2θ = 52.01°, I 17.8, (4 0 0)
- 2θ = 58.71°, I 0.8, (4 2 0)
- 2θ = 64.96°, I 36.6, (4 2 2)
- 2θ = 76.65°, I 11.4, (4 4 0)
- 2θ = 87.78°, I 16.7, (6 2 0)

Structure:
Cell lengths 7.033, 7.033, 7.033 Å; angles 90.00, 90.00, 90.00 degrees
Space group Fm-3m (No. 225)
Unique sites:
Pm: 0.000 0.000 0.000 x4
Sm: 0.000 0.000 0.500 x4
Ir: 0.250 0.250 0.250 x8

***

(7)
The following is a calculated PXRD pattern of Rb2SeCl6. It was derived from a DFT-relaxed cell (PBE, the Materials Project), using Cu Ka.

Most intense lines, 2θ = 15–90°, sorted by position:
- 2θ = 24.38°, I 77.3, (2 2 0)
- 2θ = 29.97°, I 89.2, (2 2 2)
- 2θ = 34.75°, I 100.0, (4 0 0)
- 2θ = 42.90°, I 34.0, (4 2 2)
- 2θ = 49.96°, I 64.2, (4 4 0)
- 2θ = 56.34°, I 17.7, (6 2 0)
- 2θ = 59.36°, I 29.5, (6 2 2)
- 2θ = 62.29°, I 20.9, (4 4 4)
- 2θ = 67.92°, I 19.6, (6 4 2)
- 2θ = 83.78°, I 26.5, (8 4 0)

Structure:
Cell lengths 10.327, 10.327, 10.327 Å; angles 90.00, 90.00, 90.00 degrees
Space group Fm-3m (No. 225)
Unique sites:
Rb: 0.250 0.250 0.250 x8
Se: 0.000 0.000 0.000 x4
Cl: 0.000 0.000 0.236 x24

***

Please write out number 5 again, unchanged.
The following is a calculated PXRD pattern of MgBi4O8. It was derived from a DFT-relaxed cell (PBE, the Materials Project), using Cu Ka.

Most intense lines, 2θ = 15–90°, sorted by position:
- 2θ = 18.09°, I 64.6, (0 1 1)
- 2θ = 27.50°, I 18.1, (1 1 0)
- 2θ = 27.71°, I 100.0, (0 3 1)
- 2θ = 27.94°, I 39.7, (1 0 -1)
- 2θ = 33.39°, I 25.9, (0 0 2)
- 2θ = 34.48°, I 32.4, (1 0 1)
- 2θ = 34.73°, I 39.3, (1 3 0)
- 2θ = 44.29°, I 23.4, (1 3 -2)
- 2θ = 45.05°, I 16.1, (0 6 0)
- 2θ = 53.29°, I 27.1, (1 3 2)

Structure:
Cell lengths 3.456, 12.075, 5.507 Å; angles 90.00, 102.99, 90.00 degrees
Space group Pm (No. 6)
Unique sites:
Mg: 0.000 0.000 0.000 x1
Bi: 0.554 0.161 0.525 x2
Bi: 0.912 0.329 0.055 x2
O: 0.018 0.131 0.236 x2
O: 0.311 0.259 0.800 x2
O: 0.426 0.000 0.792 x1
O: 0.513 0.324 0.323 x2
O: 0.884 0.500 0.985 x1